# 1
Calculated X-ray powder pattern
Compound: Te8IrI5
Radiation: Cu Kα
Structure: a structure optimized by DFT (PBE)

Crystal structure
```
Te8IrI5
1.0
10.0319 0.0000 0.0000
-0.4721 10.5914 0.0000
-4.4720 -2.7542 10.5403
Te Ir I
16 2 10
direct
0.0457 0.3597 0.2663 Te
0.0685 0.4381 0.8825 Te
0.0796 0.8082 0.9846 Te
0.2068 0.2296 0.0052 Te
0.2964 0.8039 0.3299 Te
0.2992 0.4396 0.2266 Te
0.4026 0.5314 0.8301 Te
0.4474 0.6736 0.0819 Te
0.5526 0.3264 0.9181 Te
0.5974 0.4686 0.1699 Te
0.7008 0.5604 0.7734 Te
0.7036 0.1961 0.6701 Te
0.7932 0.7704 0.9948 Te
0.9204 0.1918 0.0154 Te
0.9315 0.5619 0.1175 Te
0.9543 0.6403 0.7337 Te
0.1913 0.6244 0.1055 Ir
0.8087 0.3756 0.8945 Ir
0.0304 0.9324 0.2951 I
0.2070 0.6263 0.4821 I
0.3033 0.8498 0.8655 I
0.4033 0.2829 0.5843 I
0.4172 0.0136 0.2608 I
0.5828 0.9864 0.7392 I
0.5967 0.7171 0.4157 I
0.6967 0.1502 0.1345 I
0.7930 0.3737 0.5179 I
0.9696 0.0676 0.7049 I
```

Most intense lines, 2θ = 10–80°, most intense first:
| d [Å] | I_rel |
| --- | --- |
| 3.281 | 100 |
| 3.092 | 91 |
| 2.974 | 66 |
| 2.606 | 47 |
| 3.127 | 44 |
| 8.499 | 42 |
| 1.936 | 36 |
| 3.300 | 36 |
| 7.375 | 32 |
| 2.216 | 32 |



# 2
Calculated X-ray powder pattern
Compound: Y3IrI3
Radiation: Cu Kα
Structure: a structure optimized by DFT (PBE)

Crystal structure
```
Y3IrI3
1.0
8.9125 0.0000 0.0000
0.0000 4.2827 0.0000
-0.7717 0.0000 12.3263
Y Ir I
6 2 6
direct
0.0965 0.2500 0.3157 Y
0.1415 0.2500 0.8702 Y
0.2502 0.7500 0.0994 Y
0.7498 0.2500 0.9006 Y
0.8585 0.7500 0.1298 Y
0.9035 0.7500 0.6842 Y
0.0492 0.2500 0.0926 Ir
0.9508 0.7500 0.9074 Ir
0.1412 0.2500 0.6059 I
0.3488 0.7500 0.3612 I
0.4274 0.7500 0.8670 I
0.5726 0.2500 0.1330 I
0.6512 0.2500 0.6388 I
0.8588 0.7500 0.3941 I
```

Most intense lines, 2θ = 10–80°, most intense first:
| d [Å] | I_rel |
| --- | --- |
| 3.084 | 100 |
| 2.229 | 34 |
| 3.513 | 30 |
| 2.141 | 21 |
| 2.964 | 16 |
| 2.417 | 14 |
| 1.758 | 14 |
| 3.717 | 13 |
| 2.439 | 13 |
| 3.024 | 12 |



# 3
Calculated X-ray powder pattern
Compound: K2La6OsI12
Radiation: Cu Kα
Structure: a structure optimized by DFT (PBE)

Crystal structure
```
K2La6OsI12
1.0
10.0907 0.0000 0.0000
0.0000 19.6485 0.0000
-3.1497 0.0000 9.5563
K La Os I
4 12 2 24
direct
0.0733 0.1924 0.4118 K
0.0733 0.3076 0.9118 K
0.9267 0.6924 0.0882 K
0.9267 0.8076 0.5882 K
0.2075 0.5133 0.4067 La
0.2075 0.9867 0.9067 La
0.4774 0.1447 0.9022 La
0.4774 0.3553 0.4022 La
0.4925 0.0442 0.2633 La
0.4925 0.4558 0.7633 La
0.5075 0.5442 0.2367 La
0.5075 0.9558 0.7367 La
0.5226 0.6447 0.5978 La
0.5226 0.8553 0.0978 La
0.7925 0.0133 0.0933 La
0.7925 0.4867 0.5933 La
0.5000 0.0000 0.0000 Os
0.5000 0.5000 0.5000 Os
0.1363 0.1447 0.7800 I
0.1363 0.3553 0.2800 I
0.1521 0.0315 0.2004 I
0.1521 0.4685 0.7004 I
0.1771 0.5660 0.0944 I
0.1771 0.9340 0.5944 I
0.1915 0.6776 0.4802 I
0.1915 0.8224 0.9802 I
0.4192 0.2056 0.1866 I
0.4192 0.2944 0.6866 I
0.4748 0.1035 0.5838 I
0.4748 0.3965 0.0838 I
0.5252 0.6035 0.9162 I
0.5252 0.8965 0.4162 I
0.5808 0.7056 0.3134 I
0.5808 0.7944 0.8134 I
0.8085 0.1776 0.0198 I
0.8085 0.3224 0.5198 I
0.8229 0.0660 0.4056 I
0.8229 0.4340 0.9056 I
0.8479 0.5315 0.2996 I
0.8479 0.9685 0.7996 I
0.8637 0.6447 0.7200 I
0.8637 0.8553 0.2200 I
```

Most intense lines, 2θ = 10–80°, most intense first:
| d [Å] | I_rel |
| --- | --- |
| 3.195 | 100 |
| 3.174 | 88 |
| 3.098 | 76 |
| 8.595 | 70 |
| 3.634 | 59 |
| 2.274 | 52 |
| 2.200 | 51 |
| 3.306 | 46 |
| 2.985 | 40 |
| 3.038 | 38 |



What did the third record say?
Calculated X-ray powder pattern
Compound: K2La6OsI12
Radiation: Cu Kα
Structure: a structure optimized by DFT (PBE)

Crystal structure
```
K2La6OsI12
1.0
10.0907 0.0000 0.0000
0.0000 19.6485 0.0000
-3.1497 0.0000 9.5563
K La Os I
4 12 2 24
direct
0.0733 0.1924 0.4118 K
0.0733 0.3076 0.9118 K
0.9267 0.6924 0.0882 K
0.9267 0.8076 0.5882 K
0.2075 0.5133 0.4067 La
0.2075 0.9867 0.9067 La
0.4774 0.1447 0.9022 La
0.4774 0.3553 0.4022 La
0.4925 0.0442 0.2633 La
0.4925 0.4558 0.7633 La
0.5075 0.5442 0.2367 La
0.5075 0.9558 0.7367 La
0.5226 0.6447 0.5978 La
0.5226 0.8553 0.0978 La
0.7925 0.0133 0.0933 La
0.7925 0.4867 0.5933 La
0.5000 0.0000 0.0000 Os
0.5000 0.5000 0.5000 Os
0.1363 0.1447 0.7800 I
0.1363 0.3553 0.2800 I
0.1521 0.0315 0.2004 I
0.1521 0.4685 0.7004 I
0.1771 0.5660 0.0944 I
0.1771 0.9340 0.5944 I
0.1915 0.6776 0.4802 I
0.1915 0.8224 0.9802 I
0.4192 0.2056 0.1866 I
0.4192 0.2944 0.6866 I
0.4748 0.1035 0.5838 I
0.4748 0.3965 0.0838 I
0.5252 0.6035 0.9162 I
0.5252 0.8965 0.4162 I
0.5808 0.7056 0.3134 I
0.5808 0.7944 0.8134 I
0.8085 0.1776 0.0198 I
0.8085 0.3224 0.5198 I
0.8229 0.0660 0.4056 I
0.8229 0.4340 0.9056 I
0.8479 0.5315 0.2996 I
0.8479 0.9685 0.7996 I
0.8637 0.6447 0.7200 I
0.8637 0.8553 0.2200 I
```

Most intense lines, 2θ = 10–80°, most intense first:
| d [Å] | I_rel |
| --- | --- |
| 3.195 | 100 |
| 3.174 | 88 |
| 3.098 | 76 |
| 8.595 | 70 |
| 3.634 | 59 |
| 2.274 | 52 |
| 2.200 | 51 |
| 3.306 | 46 |
| 2.985 | 40 |
| 3.038 | 38 |